Structure and calculated powder diffraction line list of KMgFeP2O8 (a DFT-relaxed cell (GGA+U, the Materials Project); Cu Kα, 1.54184 Å).
Intensities are scaled so that the largest is 1000.

Principal peaks in the range 2θ = 10–90°, in order of falling intensity:
hkl	2θ (°)	d_spacing	Rel. int.
1 3 1	28.87	3.093	1000
0 1 3	30.39	2.941	588
1 3 -1	25.47	3.497	565
1 1 0	18.54	4.785	529
0 2 1	15.58	5.688	381
1 4 -1	30.22	2.958	295
1 4 -2	33.52	2.673	263
2 0 0	35.47	2.531	259

Atomic structure:
Cell: 5.241 14.672 9.325 Å, 90.00 105.03 90.00°
Space group P2_1/c (No. 14)
Symmetry-distinct sites (fractional):
1 K 0.176 0.177 0.320
2 Mg 0.241 0.049 0.967
3 Fe 0.227 0.628 0.883
4 P 0.256 0.673 0.537
5 P 0.310 0.007 0.681
6 O 0.061 0.048 0.724
7 O 0.088 0.587 0.471
8 O 0.115 0.744 0.945
9 O 0.229 0.581 0.089
10 O 0.234 0.689 0.698
11 O 0.418 0.078 0.589
12 O 0.454 0.166 0.969
13 O 0.499 0.013 0.167

Structure and calculated powder diffraction line list of FeH7C4O8 (a DFT-relaxed cell (GGA+U, the Materials Project); Cu Kα, 1.54184 Å).
Intensities are scaled so that the largest is 1000.

Principal peaks in the range 2θ = 10–90°, in order of falling intensity:
hkl	2θ (°)	d_spacing	Rel. int.
1 -1 0	13.49	6.562	1000
1 -1 1	16.66	5.322	293
2 -2 1	28.23	3.161	280
1 -2 1	23.29	3.819	223
0 1 -2	22.27	3.992	215
0 0 1	11.59	7.636	204
2 0 1	31.28	2.860	179
1 0 -1	15.23	5.819	178

Atomic structure:
Cell: 7.764 7.847 8.223 Å, 106.92 94.69 115.60°
Space group P-1 (No. 2)
Symmetry-distinct sites (fractional):
1 Fe 0.189 0.197 0.107
2 H 0.084 0.852 0.145
3 H 0.113 0.487 0.779
4 H 0.176 0.711 0.908
5 H 0.270 0.540 0.050
6 H 0.365 0.603 0.257
7 H 0.429 0.694 0.787
8 H 0.460 0.241 0.367
9 C 0.073 0.884 0.643
10 C 0.145 0.884 0.482
11 C 0.252 0.072 0.746
12 C 0.325 0.079 0.587
13 O 0.075 0.772 0.324
14 O 0.078 0.893 0.043
15 O 0.088 0.229 0.330
16 O 0.226 0.614 0.864
17 O 0.264 0.491 0.149
18 O 0.321 0.195 0.903
19 O 0.446 0.266 0.254
20 O 0.472 0.209 0.558

Structure and calculated powder diffraction line list of MgVSiO5 (a DFT-relaxed cell (GGA+U, the Materials Project); Cu Kα, 1.54184 Å).
Intensities are scaled so that the largest is 1000.

Principal peaks in the range 2θ = 10–90°, in order of falling intensity:
hkl	2θ (°)	d_spacing	Rel. int.
1 1 -2	27.93	3.195	1000
2 0 0	30.15	2.964	584
0 2 2	35.37	2.538	519
1 3 0	35.58	2.523	437
1 1 0	18.34	4.837	371
2 2 2	54.67	1.679	353
3 3 0	57.13	1.612	286
1 3 -4	63.33	1.469	205

Atomic structure:
Cell: 6.486 8.364 6.987 Å, 90.00 113.92 90.00°
Space group Cc (No. 9)
Symmetry-distinct sites (fractional):
1 Mg 0.000 0.171 0.000
2 V 0.497 0.001 0.243
3 Si 0.496 0.326 0.990
4 O 0.118 0.286 0.370
5 O 0.175 0.051 0.655
6 O 0.319 0.456 0.832
7 O 0.380 0.214 0.112
8 O 0.495 0.083 0.490

Structure and calculated powder diffraction line list of KMn8O16 (a DFT-relaxed cell (GGA+U, the Materials Project); Cu Kα, 1.54184 Å).
Intensities are scaled so that the largest is 1000.

Principal peaks in the range 2θ = 10–90°, in order of falling intensity:
hkl	2θ (°)	d_spacing	Rel. int.
0 2 1	28.28	3.155	1000
2 -1 1	36.51	2.461	911
0 1 0	12.55	7.055	854
0 1 -1	17.78	4.989	831
2 -2 2	48.65	1.871	454
2 2 2	40.88	2.207	328
0 3 3	55.24	1.663	278
2 2 -3	58.81	1.570	275

Atomic structure:
Cell: 5.902 7.202 7.213 Å, 87.68 78.28 78.15°
Space group P-1 (No. 2)
Symmetry-distinct sites (fractional):
1 K 0.000 0.000 0.000
2 Mn 0.077 0.183 0.513
3 Mn 0.167 0.514 0.817
4 Mn 0.334 0.483 0.182
5 Mn 0.424 0.817 0.483
6 O 0.022 0.625 0.290
7 O 0.147 0.358 0.049
8 O 0.167 0.709 0.624
9 O 0.169 0.951 0.358
10 O 0.326 0.047 0.640
11 O 0.333 0.293 0.379
12 O 0.349 0.641 0.953
13 O 0.479 0.379 0.707

Structure and calculated powder diffraction line list of LiCrCSO7 (a DFT-relaxed cell (GGA+U, the Materials Project); Cu Kα, 1.54184 Å).
Intensities are scaled so that the largest is 1000.

Principal peaks in the range 2θ = 10–90°, in order of falling intensity:
hkl	2θ (°)	d_spacing	Rel. int.
0 2 0	27.96	3.191	1000
0 1 1	16.88	5.254	925
1 0 1	19.95	4.450	862
1 0 -1	19.07	4.655	781
1 0 -2	25.03	3.557	635
1 1 1	24.38	3.650	375
1 1 3	37.38	2.406	293
1 0 2	26.39	3.377	265

Atomic structure:
Cell: 5.231 6.382 9.267 Å, 90.00 93.00 90.00°
Space group P2_1 (No. 4)
Symmetry-distinct sites (fractional):
1 Li 0.247 0.000 0.364
2 Cr 0.220 0.672 0.845
3 C 0.273 0.698 0.587
4 S 0.272 0.172 0.928
5 O 0.048 0.678 0.647
6 O 0.129 0.168 0.063
7 O 0.201 0.356 0.837
8 O 0.211 0.989 0.836
9 O 0.303 0.740 0.459
10 O 0.448 0.678 0.031
11 O 0.464 0.671 0.687

Structure and calculated powder diffraction line list of Li2VCrO4 (a DFT-relaxed cell (GGA+U, the Materials Project); Cu Kα, 1.54184 Å).
Intensities are scaled so that the largest is 1000.

Principal peaks in the range 2θ = 10–90°, in order of falling intensity:
hkl	2θ (°)	d_spacing	Rel. int.
1 1 1	24.06	3.699	1000
2 0 2	44.52	2.035	529
0 4 0	40.71	2.216	332
2 4 2	61.89	1.499	311
3 1 1	51.23	1.783	212
1 3 1	37.61	2.391	149
2 2 0	37.25	2.414	146
4 0 0	64.78	1.439	141

Atomic structure:
Cell: 5.759 8.866 5.754 Å, 90.00 90.00 90.00°
Space group C222 (No. 21)
Symmetry-distinct sites (fractional):
1 Li 0.000 0.000 0.000
2 Li 0.000 0.500 0.500
3 Li 0.250 0.250 0.748
4 V 0.250 0.250 0.248
5 Cr 0.000 0.000 0.500
6 Cr 0.000 0.500 0.000
7 O 0.000 0.230 0.500
8 O 0.000 0.270 0.000
9 O 0.250 0.015 0.250

Structure and calculated powder diffraction line list of Ta2NiO6 (a DFT-relaxed cell (GGA+U, the Materials Project); Cu Kα, 1.54184 Å).
Intensities are scaled so that the largest is 1000.

Principal peaks in the range 2θ = 10–90°, in order of falling intensity:
hkl	2θ (°)	d_spacing	Rel. int.
1 1 0	26.38	3.378	1000
1 0 3	34.82	2.576	790
2 1 3	52.22	1.752	645
2 0 0	37.66	2.389	249
1 0 1	20.96	4.238	231
3 0 3	66.15	1.413	187
1 1 6	67.19	1.393	171
2 2 0	54.31	1.689	165

Atomic structure:
Cell: 4.777 4.777 9.178 Å, 90.00 90.00 90.00°
Space group P4_2/mnm (No. 136)
Symmetry-distinct sites (fractional):
1 Ta 0.000 0.000 0.169
2 Ni 0.000 0.000 0.500
3 O 0.189 0.189 0.000
4 O 0.203 0.203 0.325

Structure and calculated powder diffraction line list of LiMn3B3O9 (a DFT-relaxed cell (GGA+U, the Materials Project); Cu Kα, 1.54184 Å).
Intensities are scaled so that the largest is 1000.

Principal peaks in the range 2θ = 10–90°, in order of falling intensity:
hkl	2θ (°)	d_spacing	Rel. int.
1 0 -1	19.64	4.521	1000
1 1 1	22.67	3.923	891
0 2 -2	35.15	2.553	837
0 0 3	22.15	4.013	754
2 0 1	33.64	2.665	482
0 1 5	39.78	2.266	454
1 0 2	20.35	4.363	326
1 0 -4	37.01	2.429	323

Atomic structure:
Cell: 5.335 5.785 12.258 Å, 86.87 79.57 88.52°
Space group P1 (No. 1)
Symmetry-distinct sites (fractional):
1 Li 0.000 0.000 0.000
2 Li 0.338 0.332 0.335
3 Mn 0.074 0.823 0.764
4 Mn 0.098 0.103 0.536
5 Mn 0.427 0.179 0.103
6 Mn 0.446 0.452 0.868
7 Mn 0.761 0.509 0.446
8 Mn 0.763 0.780 0.211
9 B 0.232 0.610 0.542
10 B 0.301 0.682 0.089
11 B 0.559 0.948 0.881
12 B 0.636 0.010 0.427
13 B 0.891 0.287 0.210
14 B 0.966 0.329 0.761
15 O 0.054 0.714 0.082
16 O 0.066 0.758 0.609
17 O 0.091 0.492 0.811
18 O 0.113 0.148 0.708
19 O 0.133 0.474 0.469
20 O 0.144 0.276 0.219
21 O 0.393 0.037 0.411
22 O 0.397 0.123 0.934
23 O 0.436 0.786 0.831
24 O 0.437 0.841 0.138
25 O 0.447 0.496 0.038
26 O 0.479 0.597 0.553
27 O 0.714 0.346 0.757
28 O 0.719 0.429 0.278
29 O 0.755 0.172 0.481
30 O 0.792 0.826 0.380
31 O 0.797 0.148 0.137
32 O 0.811 0.934 0.888